Entry 1:
Computed powder XRD pattern of LaTl2Hg2 for Cu Ka, from a PBE-relaxed structure.
Lines closer than 0.1° are merged.

abc: 16.927 16.927 16.927
angles: 168.04 162.72 21.07
Sites, in units of the cell vectors:
La 0.316 0.066 0.250
La 0.684 0.934 0.750
Tl 0.044 0.794 0.250
Tl 0.415 0.665 0.750
Tl 0.585 0.335 0.250
Tl 0.956 0.206 0.750
Hg 0.138 0.388 0.750
Hg 0.228 0.478 0.750
Hg 0.772 0.522 0.250
Hg 0.862 0.612 0.250

Top 10 peaks for 2θ = 5–70°, in order of falling intensity:
2θ = 32.72°, rel. 100; 2θ = 34.49°, rel. 86; 2θ = 31.58°, rel. 45; 2θ = 35.30°, rel. 42; 2θ = 63.76°, rel. 30; 2θ = 48.09°, rel. 28; 2θ = 48.47°, rel. 19; 2θ = 61.37°, rel. 19; 2θ = 61.73°, rel. 17; 2θ = 25.39°, rel. 16



Entry 2:
Computed powder XRD pattern of LaTlHg6 for Cu Ka, from a PBE-relaxed structure.
Lines closer than 0.1° are merged.

abc: 5.242 6.919 6.919
angles: 59.80 90.00 90.00
Sites, in units of the cell vectors:
La 0.000 0.000 0.000
Tl 0.500 0.663 0.663
Hg 0.000 0.011 0.493
Hg 0.000 0.490 0.490
Hg 0.000 0.493 0.011
Hg 0.500 0.166 0.660
Hg 0.500 0.170 0.170
Hg 0.500 0.660 0.166

Top 10 peaks for 2θ = 5–70°, in order of falling intensity:
2θ = 34.51°, rel. 100; 2θ = 29.85°, rel. 24; 2θ = 34.21°, rel. 23; 2θ = 64.58°, rel. 20; 2θ = 61.45°, rel. 19; 2θ = 46.03°, rel. 15; 2θ = 52.93°, rel. 13; 2θ = 64.85°, rel. 11; 2θ = 64.71°, rel. 7; 2θ = 53.11°, rel. 7



Entry 3:
Computed powder XRD pattern of La3TmHg for Cu Ka, from a PBE-relaxed structure.
Lines closer than 0.1° are merged.

abc: 3.854 10.799 8.287
angles: 90.00 90.00 90.00
Sites, in units of the cell vectors:
La 0.250 0.002 0.247
La 0.250 0.498 0.247
La 0.250 0.750 0.547
La 0.750 0.250 0.453
La 0.750 0.502 0.753
La 0.750 0.998 0.753
Tm 0.250 0.750 0.942
Tm 0.750 0.250 0.058
Hg 0.250 0.250 0.779
Hg 0.750 0.750 0.221

Top 10 peaks for 2θ = 5–70°, in order of falling intensity:
2θ = 30.47°, rel. 100; 2θ = 32.80°, rel. 47; 2θ = 33.19°, rel. 37; 2θ = 40.62°, rel. 25; 2θ = 27.13°, rel. 22; 2θ = 33.48°, rel. 21; 2θ = 63.47°, rel. 20; 2θ = 16.42°, rel. 18; 2θ = 57.61°, rel. 17; 2θ = 58.88°, rel. 14



Entry 4:
Computed powder XRD pattern of La6TmHg5 for Cu Ka, from a PBE-relaxed structure.
Lines closer than 0.1° are merged.

abc: 5.477 7.905 8.856
angles: 90.00 107.97 90.00
Sites, in units of the cell vectors:
La 0.000 0.227 0.000
La 0.000 0.773 0.000
La 0.327 0.254 0.654
La 0.327 0.746 0.654
La 0.673 0.254 0.346
La 0.673 0.746 0.346
Tm 0.500 0.500 0.000
Hg 0.148 0.500 0.296
Hg 0.166 0.000 0.335
Hg 0.500 0.000 0.000
Hg 0.834 0.000 0.665
Hg 0.852 0.500 0.704

Top 10 peaks for 2θ = 5–70°, in order of falling intensity:
2θ = 32.16°, rel. 100; 2θ = 32.70°, rel. 25; 2θ = 56.97°, rel. 25; 2θ = 31.87°, rel. 24; 2θ = 58.02°, rel. 19; 2θ = 46.31°, rel. 17; 2θ = 67.27°, rel. 11; 2θ = 57.51°, rel. 10; 2θ = 45.92°, rel. 9; 2θ = 22.68°, rel. 3



Entry 5:
Computed powder XRD pattern of La12Tm3Hg for Cu Ka, from a PBE-relaxed structure.
Lines closer than 0.1° are merged.

abc: 5.136 5.136 20.734
angles: 90.00 90.00 90.00
Sites, in units of the cell vectors:
La 0.000 0.000 0.000
La 0.000 0.000 0.247
La 0.000 0.000 0.500
La 0.000 0.000 0.753
La 0.000 0.500 0.122
La 0.000 0.500 0.374
La 0.000 0.500 0.626
La 0.000 0.500 0.878
La 0.500 0.000 0.122
La 0.500 0.000 0.374
La 0.500 0.000 0.626
La 0.500 0.000 0.878
Tm 0.500 0.500 0.248
Tm 0.500 0.500 0.500
Tm 0.500 0.500 0.752
Hg 0.500 0.500 0.000

Top 10 peaks for 2θ = 5–70°, in order of falling intensity:
2θ = 30.05°, rel. 100; 2θ = 34.94°, rel. 34; 2θ = 59.66°, rel. 29; 2θ = 50.00°, rel. 24; 2θ = 34.61°, rel. 17; 2θ = 59.22°, rel. 14; 2θ = 62.45°, rel. 12; 2θ = 50.25°, rel. 12; 2θ = 17.27°, rel. 1; 2θ = 24.40°, rel. 1



Entry 6:
Computed powder XRD pattern of La14TmHg for Cu Ka, from a PBE-relaxed structure.
Lines closer than 0.1° are merged.

abc: 10.426 7.300 7.300
angles: 90.02 90.00 90.00
Sites, in units of the cell vectors:
La 0.000 0.000 0.000
La 0.000 0.481 0.997
La 0.000 0.488 0.488
La 0.000 0.997 0.481
La 0.243 0.740 0.740
La 0.256 0.245 0.737
La 0.256 0.737 0.245
La 0.269 0.247 0.247
La 0.500 0.498 0.969
La 0.500 0.969 0.498
La 0.731 0.247 0.247
La 0.744 0.245 0.737
La 0.744 0.737 0.245
La 0.757 0.740 0.740
Tm 0.500 0.988 0.988
Hg 0.500 0.491 0.491

Top 10 peaks for 2θ = 5–70°, in order of falling intensity:
2θ = 29.88°, rel. 100; 2θ = 34.76°, rel. 34; 2θ = 59.33°, rel. 28; 2θ = 49.71°, rel. 23; 2θ = 34.41°, rel. 17; 2θ = 58.86°, rel. 14; 2θ = 62.08°, rel. 12; 2θ = 49.98°, rel. 12; 2θ = 8.48°, rel. 1; 2θ = 28.44°, rel. 1



Entry 7:
Computed powder XRD pattern of La3TmHg12 for Cu Ka, from a PBE-relaxed structure.
Lines closer than 0.1° are merged.

abc: 4.758 4.758 18.701
angles: 90.00 90.00 90.00
Sites, in units of the cell vectors:
La 0.000 0.000 0.000
La 0.000 0.000 0.259
La 0.000 0.000 0.741
Tm 0.000 0.000 0.500
Hg 0.000 0.500 0.129
Hg 0.000 0.500 0.385
Hg 0.000 0.500 0.615
Hg 0.000 0.500 0.871
Hg 0.500 0.000 0.129
Hg 0.500 0.000 0.385
Hg 0.500 0.000 0.615
Hg 0.500 0.000 0.871
Hg 0.500 0.500 0.000
Hg 0.500 0.500 0.261
Hg 0.500 0.500 0.500
Hg 0.500 0.500 0.739

Top 10 peaks for 2θ = 5–70°, in order of falling intensity:
2θ = 32.80°, rel. 100; 2θ = 37.82°, rel. 35; 2θ = 65.13°, rel. 28; 2θ = 55.08°, rel. 21; 2θ = 38.51°, rel. 15; 2θ = 54.55°, rel. 12; 2θ = 68.75°, rel. 11; 2θ = 66.07°, rel. 10; 2θ = 61.07°, rel. 2; 2θ = 35.90°, rel. 2



Entry 8:
Computed powder XRD pattern of LaTmZnHg for Cu Ka, from a PBE-relaxed structure.
Lines closer than 0.1° are merged.

abc: 3.644 3.644 7.701
angles: 90.00 90.00 90.00
Sites, in units of the cell vectors:
La 0.000 0.000 0.000
Tm 0.000 0.000 0.467
Zn 0.500 0.500 0.261
Hg 0.500 0.500 0.703

Top 10 peaks for 2θ = 5–70°, in order of falling intensity:
2θ = 33.87°, rel. 100; 2θ = 34.82°, rel. 50; 2θ = 61.82°, rel. 35; 2θ = 50.09°, rel. 24; 2θ = 59.99°, rel. 16; 2θ = 11.49°, rel. 15; 2θ = 27.07°, rel. 14; 2θ = 47.21°, rel. 8; 2θ = 43.10°, rel. 5; 2θ = 36.78°, rel. 4



Entry 9:
Computed powder XRD pattern of La6YHg12 for Cu Ka, from a PBE-relaxed structure.
Lines closer than 0.1° are merged.

abc: 8.772 8.772 8.772
angles: 107.35 107.35 107.35
Sites, in units of the cell vectors:
La 0.002 0.272 0.426
La 0.272 0.426 0.002
La 0.426 0.002 0.272
La 0.574 0.998 0.728
La 0.728 0.574 0.998
La 0.998 0.728 0.574
Y 0.500 0.500 0.500
Hg 0.064 0.921 0.313
Hg 0.079 0.687 0.936
Hg 0.243 0.656 0.362
Hg 0.313 0.064 0.921
Hg 0.344 0.638 0.757
Hg 0.362 0.243 0.656
Hg 0.638 0.757 0.344
Hg 0.656 0.362 0.243
Hg 0.687 0.936 0.079
Hg 0.757 0.344 0.638
Hg 0.921 0.313 0.064
Hg 0.936 0.079 0.687

Top 10 peaks for 2θ = 5–70°, in order of falling intensity:
2θ = 33.55°, rel. 100; 2θ = 37.82°, rel. 44; 2θ = 30.53°, rel. 41; 2θ = 35.53°, rel. 35; 2θ = 54.85°, rel. 23; 2θ = 68.03°, rel. 19; 2θ = 59.98°, rel. 16; 2θ = 64.34°, rel. 15; 2θ = 47.86°, rel. 14; 2θ = 21.78°, rel. 14



Entry 10:
Computed powder XRD pattern of La4ZnHg2 for Cu Ka, from a PBE-relaxed structure.
Lines closer than 0.1° are merged.

abc: 9.257 9.257 9.257
angles: 34.13 34.13 34.13
Sites, in units of the cell vectors:
La 0.123 0.123 0.123
La 0.374 0.374 0.374
La 0.626 0.626 0.626
La 0.877 0.877 0.877
Zn 0.500 0.500 0.500
Hg 0.249 0.249 0.249
Hg 0.751 0.751 0.751

Top 10 peaks for 2θ = 5–70°, in order of falling intensity:
2θ = 32.98°, rel. 100; 2θ = 33.40°, rel. 96; 2θ = 59.16°, rel. 37; 2θ = 47.64°, rel. 36; 2θ = 20.06°, rel. 33; 2θ = 58.89°, rel. 19; 2θ = 59.96°, rel. 18; 2θ = 39.09°, rel. 15; 2θ = 20.39°, rel. 12; 2θ = 69.17°, rel. 12



Entry 11:
Computed powder XRD pattern of Li4Hg for Cu Ka, from a PBE-relaxed structure.
Lines closer than 0.1° are merged.

abc: 4.828 4.828 6.015
angles: 124.14 124.14 54.25
Sites, in units of the cell vectors:
Li 0.105 0.105 0.314
Li 0.295 0.295 0.898
Li 0.705 0.705 0.102
Li 0.895 0.895 0.686
Hg 0.500 0.500 0.500

Top 10 peaks for 2θ = 5–70°, in order of falling intensity:
2θ = 24.22°, rel. 100; 2θ = 25.10°, rel. 92; 2θ = 19.01°, rel. 89; 2θ = 20.79°, rel. 72; 2θ = 37.81°, rel. 41; 2θ = 37.99°, rel. 41; 2θ = 26.73°, rel. 39; 2θ = 35.97°, rel. 37; 2θ = 29.83°, rel. 30; 2θ = 39.75°, rel. 28



Entry 12:
Computed powder XRD pattern of LiHg5 for Cu Ka, from a PBE-relaxed structure.
Lines closer than 0.1° are merged.

abc: 6.151 6.151 7.552
angles: 108.05 108.05 32.50
Sites, in units of the cell vectors:
Li 0.000 0.000 0.000
Hg 0.025 0.025 0.576
Hg 0.330 0.330 0.718
Hg 0.398 0.398 0.213
Hg 0.675 0.675 0.931
Hg 0.693 0.693 0.355

Top 10 peaks for 2θ = 5–70°, in order of falling intensity:
2θ = 35.28°, rel. 100; 2θ = 35.51°, rel. 96; 2θ = 33.85°, rel. 57; 2θ = 30.35°, rel. 37; 2θ = 33.74°, rel. 36; 2θ = 64.56°, rel. 30; 2θ = 28.78°, rel. 29; 2θ = 53.38°, rel. 27; 2θ = 35.88°, rel. 22; 2θ = 53.23°, rel. 19



What did the fourth record say?
Computed powder XRD pattern of La6TmHg5 for Cu Ka, from a PBE-relaxed structure.
Lines closer than 0.1° are merged.

abc: 5.477 7.905 8.856
angles: 90.00 107.97 90.00
Sites, in units of the cell vectors:
La 0.000 0.227 0.000
La 0.000 0.773 0.000
La 0.327 0.254 0.654
La 0.327 0.746 0.654
La 0.673 0.254 0.346
La 0.673 0.746 0.346
Tm 0.500 0.500 0.000
Hg 0.148 0.500 0.296
Hg 0.166 0.000 0.335
Hg 0.500 0.000 0.000
Hg 0.834 0.000 0.665
Hg 0.852 0.500 0.704

Top 10 peaks for 2θ = 5–70°, in order of falling intensity:
2θ = 32.16°, rel. 100; 2θ = 32.70°, rel. 25; 2θ = 56.97°, rel. 25; 2θ = 31.87°, rel. 24; 2θ = 58.02°, rel. 19; 2θ = 46.31°, rel. 17; 2θ = 67.27°, rel. 11; 2θ = 57.51°, rel. 10; 2θ = 45.92°, rel. 9; 2θ = 22.68°, rel. 3